Record 1
The following is a theoretical XRD peak list of Pa6In2C. It was derived from a DFT-relaxed cell (GGA-PBE, Alexandria), using copper Kα.
Neutral-atom scattering factors, no anomalous dispersion.

Atomic structure:
Cell lengths 6.421, 6.421, 10.028 Å; angles 90.00, 90.00, 90.00 degrees
Space group I4/mmm (No. 139)
One atom of each set of equivalent atoms:
Pa1 0.000 0.000 0.237 [4 per cell]
Pa2 0.230 0.230 0.500 [8 per cell]
In1 0.000 0.500 0.250 [4 per cell]
C1 0.000 0.000 0.000 [2 per cell]

Largest 6 diffraction maxima, sorted by position, 10 to 90 degrees two-theta:
| index | 2theta | intensity |
| --- | --- | --- |
| 2 0 2 | 33.1 | 100 |
| 0 0 4 | 35.8 | 21 |
| 2 2 0 | 39.7 | 31 |
| 2 2 4 | 54.5 | 24 |
| 2 0 6 | 62.7 | 16 |
| 4 2 2 | 67.9 | 23 |

---

Record 2
The following is a theoretical XRD peak list of H2SeI2. It was derived from a DFT-relaxed cell (GGA-PBE, Alexandria), using copper Kα.
Neutral-atom scattering factors, no anomalous dispersion.

Atomic structure:
Cell lengths 7.141, 8.541, 10.718 Å; angles 90.00, 94.51, 90.00 degrees
Space group P2_1/c (No. 14)
One atom of each set of equivalent atoms:
H1 0.150 0.168 0.310 [4 per cell]
H2 0.316 0.151 0.897 [4 per cell]
Se1 0.270 0.182 0.430 [4 per cell]
I1 0.049 0.734 0.432 [4 per cell]
I2 0.371 0.634 0.306 [4 per cell]

Largest 6 diffraction maxima, sorted by position, 10 to 90 degrees two-theta:
| index | 2theta | intensity |
| --- | --- | --- |
| 0 2 0 | 20.8 | 48 |
| 1 0 2 | 21.6 | 100 |
| 0 2 1 | 22.4 | 51 |
| 1 1 2 | 24.0 | 30 |
| 1 2 1 | 26.0 | 40 |
| 2 1 -2 | 30.9 | 65 |

---

Record 3
The following is a theoretical XRD peak list of Nd5Tl8Cd. It was derived from a DFT-relaxed cell (GGA-PBE, Alexandria), using copper Kα.
Neutral-atom scattering factors, no anomalous dispersion.

Atomic structure:
Cell lengths 9.564, 9.564, 9.252 Å; angles 90.00, 90.00, 90.00 degrees
Space group I-4 (No. 82)
One atom of each set of equivalent atoms:
Nd1 0.000 0.000 0.000 [2 per cell]
Nd2 0.114 0.257 0.362 [8 per cell]
Tl1 0.074 0.179 0.705 [8 per cell]
Tl2 0.081 0.331 0.020 [8 per cell]
Cd1 0.000 0.500 0.750 [2 per cell]

Largest 6 diffraction maxima, sorted by position, 10 to 90 degrees two-theta:
| index | 2theta | intensity |
| --- | --- | --- |
| 1 3 0 | 29.5 | 100 |
| 3 0 1 | 29.6 | 76 |
| 1 0 3 | 30.5 | 69 |
| 3 2 1 | 35.2 | 68 |
| 3 1 2 | 35.5 | 69 |
| 2 1 3 | 35.9 | 92 |

---

Record 4
The following is a theoretical XRD peak list of CaAc5In2Co. It was derived from a DFT-relaxed cell (GGA-PBE, Alexandria), using copper Kα.
Neutral-atom scattering factors, no anomalous dispersion.

Atomic structure:
Cell lengths 3.996, 22.278, 14.668 Å; angles 90.00, 90.00, 90.00 degrees
Space group Cmc2_1 (No. 36)
One atom of each set of equivalent atoms:
Ca1 0.000 0.011 0.000 [4 per cell]
Ac1 0.000 0.004 0.270 [4 per cell]
Ac2 0.000 0.138 0.617 [4 per cell]
Ac3 0.000 0.228 0.992 [4 per cell]
Ac4 0.000 0.237 0.273 [4 per cell]
Ac5 0.000 0.383 0.648 [4 per cell]
In1 0.000 0.388 0.364 [4 per cell]
In2 0.000 0.388 0.903 [4 per cell]
Co1 0.000 0.262 0.631 [4 per cell]

Largest 6 diffraction maxima, sorted by position, 10 to 90 degrees two-theta:
| index | 2theta | intensity |
| --- | --- | --- |
| 1 3 1 | 26.0 | 20 |
| 0 4 4 | 29.1 | 100 |
| 1 5 0 | 30.0 | 22 |
| 0 8 0 | 32.1 | 19 |
| 1 9 4 | 50.0 | 18 |
| 2 4 4 | 54.9 | 20 |

---

- What is the formula in the fourth record?
  CaAc5In2Co

---

- What is the formula in the third record?
  Nd5Tl8Cd